# 1
Starting from a structure optimized by DFT (GGA-PBE), the PXRD pattern of TbThCuPt was simulated for Cu Ka.

Peak list (10 most intense, 2θ = 10–90°, in order of falling intensity)
2theta, d [Å], I_rel
31.63, 2.828, 100.0
39.91, 2.259, 62.1
34.47, 2.602, 33.7
39.59, 2.276, 31.8
33.76, 2.655, 27.2
39.28, 2.294, 23.9
53.48, 1.713, 19.8
47.38, 1.919, 19.1
63.40, 1.467, 16.1
80.01, 1.199, 15.9

Atomic structure:
Unit cell a=4.5530 b=5.6462 c=5.6462 alpha=39.73 beta=90.00 gamma=90.00
Atoms (fractional coordinates):
Tb: 0.0000 0.0000 0.0000
Th: 0.5000 0.2787 0.2787
Cu: 0.0000 0.7197 0.7197
Pt: 0.5000 0.5616 0.5616

***

# 2
Starting from a structure optimized by DFT (GGA-PBE), the PXRD pattern of NdScPS was simulated for Cu Ka.

Peak list (10 most intense, 2θ = 10–90°, in order of falling intensity)
2theta, d [Å], I_rel
34.83, 2.576, 100.0
27.10, 3.290, 71.0
32.13, 2.786, 54.2
47.21, 1.925, 49.2
13.09, 6.761, 47.3
28.17, 3.168, 43.5
41.28, 2.187, 36.0
26.36, 3.380, 20.4
59.99, 1.542, 19.6
74.74, 1.270, 19.5

Atomic structure:
Unit cell a=7.1170 b=7.1170 c=7.1170 alpha=31.39 beta=31.39 gamma=31.39
Atoms (fractional coordinates):
Nd: 0.0000 0.0000 0.0000
Sc: 0.8225 0.8225 0.8225
P: 0.4213 0.4213 0.4213
S: 0.2357 0.2357 0.2357

***

# 3
Starting from a structure optimized by DFT (GGA-PBE), the PXRD pattern of HgP3O9 was simulated for Cu Ka.

Peak list (10 most intense, 2θ = 10–90°, in order of falling intensity)
2theta, d [Å], I_rel
17.50, 5.068, 100.0
25.22, 3.532, 68.6
24.45, 3.641, 47.4
35.42, 2.534, 41.2
47.48, 1.915, 27.2
30.56, 2.925, 22.6
39.25, 2.295, 19.3
31.13, 2.873, 15.7
28.08, 3.178, 15.5
47.00, 1.933, 14.0

Atomic structure:
Unit cell a=7.0656 b=7.0656 c=7.2811 alpha=90.00 beta=90.00 gamma=91.50
Atoms (fractional coordinates):
Hg: 0.2151 0.2151 0.0000
Hg: 0.7849 0.7849 0.5000
P: 0.2846 0.7055 0.9570
P: 0.2918 0.2918 0.5000
P: 0.2945 0.7154 0.5430
P: 0.7055 0.2846 0.0430
P: 0.7082 0.7082 0.0000
P: 0.7154 0.2945 0.4570
O: 0.1123 0.8172 0.5259
O: 0.1760 0.5353 0.0333
O: 0.1828 0.8877 0.9741
O: 0.1840 0.2403 0.6715
O: 0.2403 0.1840 0.3285
O: 0.2773 0.5128 0.4464
O: 0.3443 0.6557 0.7500
O: 0.4647 0.8240 0.4667
O: 0.4872 0.7227 0.0536
O: 0.5128 0.2773 0.5536
O: 0.5353 0.1760 0.9667
O: 0.6557 0.3443 0.2500
O: 0.7227 0.4872 0.9464
O: 0.7597 0.8160 0.8285
O: 0.8160 0.7597 0.1715
O: 0.8172 0.1123 0.4741
O: 0.8240 0.4647 0.5333
O: 0.8877 0.1828 0.0259